For BaZnW2, a PBE-relaxed structure gives the simulated PXRD pattern in this record (Cu Kα X-rays).

Cell and atoms:
```
BaZnW2
1.0
0.0000 3.4460 3.4460
3.4460 0.0000 3.4460
3.4460 3.4460 0.0000
Ba Zn W
1 1 2
Direct
0.0000 0.0000 0.0000
0.2500 0.2500 0.2500
0.5000 0.5000 0.5000
0.7500 0.7500 0.7500
```

Top 10 peaks for 2θ = 10–90°, in order of rising 2θ:
- 2θ 22.34, I = 11
- 2θ 25.85, I = 1
- 2θ 36.89, I = 100
- 2θ 43.55, I = 6
- 2θ 53.16, I = 18
- 2θ 58.36, I = 3
- 2θ 66.46, I = 36
- 2θ 71.07, I = 2
- 2θ 78.51, I = 11
- 2θ 82.87, I = 2

For BaZn4, a PBE-relaxed structure gives the simulated PXRD pattern in this record (Cu Kα X-rays).

Cell and atoms:
```
BaZn4
1.0
-2.2619 2.2619 5.5323
2.2619 -2.2619 5.5323
2.2619 2.2619 -5.5323
Ba Zn
1 4
Direct
0.0000 0.0000 0.0000
0.2500 0.7500 0.5000
0.3740 0.3740 0.0000
0.6260 0.6260 0.0000
0.7500 0.2500 0.5000
```

Top 10 peaks for 2θ = 10–90°, in order of rising 2θ:
- 2θ 27.89, I = 16
- 2θ 31.29, I = 76
- 2θ 32.33, I = 100
- 2θ 39.85, I = 62
- 2θ 45.64, I = 26
- 2θ 51.52, I = 36
- 2θ 57.67, I = 38
- 2θ 62.17, I = 20
- 2θ 67.65, I = 24
- 2θ 85.99, I = 18